No. 1
TmScZnMo: theoretical powder diffractogram (Cu Ka), based on the GGA-PBE geometry in Alexandria.
Kinematic intensities with the Lorentz-polarization factor, no thermal factor.

Principal peaks in the range 10 to 80 degrees two-theta, by intensity:
| two_theta | I/Imax | (hkl) |
| --- | --- | --- |
| 37.4 | 100 | 2 2 0 |
| 67.5 | 34 | 4 2 2 |
| 22.7 | 26 | 1 1 1 |
| 54.0 | 17 | 4 0 0 |
| 44.2 | 14 | 3 1 1 |
| 79.8 | 11 | 4 4 0 |
| 59.3 | 6 | 3 3 1 |
| 72.2 | 5 | 5 1 1 |
| 26.2 | 2 | 2 0 0 |
| 61.0 | 1 | 4 2 0 |

Structure:
a b c (Å): 6.797 6.797 6.797
angles (deg): 90.00 90.00 90.00
Space group F-43m (No. 216)
Symmetry-distinct sites (fractional):
Tm  0.000  0.000  0.000 x4
Sc  0.000  0.000  0.500 x4
Zn  0.250  0.250  0.250 x4
Mo  0.250  0.250  0.750 x4

No. 2
BeNbF6: theoretical powder diffractogram (Cu Ka), based on the GGA-PBE geometry in Alexandria.
Kinematic intensities with the Lorentz-polarization factor, no thermal factor.

Principal peaks in the range 10 to 80 degrees two-theta, by intensity:
| two_theta | I/Imax | (hkl) |
| --- | --- | --- |
| 23.8 | 100 | 1 0 0 |
| 24.4 | 91 | 0 1 -1 |
| 24.6 | 90 | -1 1 1 |
| 41.4 | 49 | 1 1 -2 |
| 20.1 | 46 | 0 0 1 |
| 21.0 | 45 | 0 1 0 |
| 21.5 | 44 | 1 0 -1 |
| 21.3 | 42 | 1 -1 0 |
| 40.9 | 40 | -1 2 1 |
| 40.5 | 32 | 2 -1 0 |

Structure:
a b c (Å): 5.062 5.088 5.211
angles (deg): 90.26 117.45 119.43
Space group P-1 (No. 2)
Symmetry-distinct sites (fractional):
Be  0.000  0.000  0.000 x1
Nb  0.000  0.500  0.500 x1
F  0.075  0.758  0.213 x2
F  0.085  0.866  0.760 x2
F  0.485  0.323  0.242 x2

No. 3
ErCrRe: theoretical powder diffractogram (Cu Ka), based on the GGA-PBE geometry in Alexandria.
Kinematic intensities with the Lorentz-polarization factor, no thermal factor.

Principal peaks in the range 10 to 80 degrees two-theta, by intensity:
| two_theta | I/Imax | (hkl) |
| --- | --- | --- |
| 35.3 | 100 | 1 1 3 |
| 37.6 | 82 | 1 3 1 |
| 62.3 | 34 | 3 1 3 |
| 45.3 | 34 | 2 2 2 |
| 34.5 | 33 | 2 0 0 |
| 44.3 | 23 | 0 2 4 |
| 63.9 | 18 | 3 3 1 |
| 65.4 | 17 | 1 5 3 |
| 28.5 | 15 | 0 2 2 |
| 70.6 | 15 | 2 0 6 |

Structure:
a b c (Å): 5.198 8.449 9.335
angles (deg): 90.00 90.00 90.00
Space group Fmmm (No. 69)
Symmetry-distinct sites (fractional):
Er  0.000  0.167  0.000 x8
Cr  0.250  0.250  0.250 x8
Re  0.000  0.000  0.338 x8